No. 1
The following is a calculated PXRD pattern of Pr3Mg2Hg3. It was derived from a structure optimized by DFT (PBE), using λ = 1.5418 Å (Cu Kα).
No peak broadening, texture or thermal motion is included.

Main lines, by intensity (2θ from 5° to 70°):
(1 1 4), 33.03°, rel. 100
(0 0 2), 8.41°, rel. 29
(0 2 0), 33.27°, rel. 25
(0 0 8), 34.11°, rel. 22
(1 3 4), 59.29°, rel. 19
(0 2 8), 48.39°, rel. 16
(1 1 12), 60.38°, rel. 16
(1 1 2), 29.47°, rel. 13
(2 2 8), 69.30°, rel. 11
(2 2 0), 58.30°, rel. 10

Cell and atoms:
```
data_Pr3Mg2Hg3
_symmetry_space_group_name_H-M 'I m m m'
_symmetry_Int_Tables_number 71
_symmetry_space_group_name_Hall '-I 2 2'
_cell_length_a 3.912
_cell_length_b 5.387
_cell_length_c 21.028
_cell_angle_alpha 90.00
_cell_angle_beta 90.00
_cell_angle_gamma 90.00
loop_
_atom_site_label
_atom_site_type_symbol
_atom_site_fract_x
_atom_site_fract_y
_atom_site_fract_z
Pr1 Pr 0.000 0.000 0.000
Pr2 Pr 0.000 0.500 0.126
Mg1 Mg 0.000 0.000 0.238
Hg1 Hg 0.000 0.000 0.500
Hg2 Hg 0.000 0.500 0.368
```


No. 2
The following is a calculated PXRD pattern of PrMgHg6. It was derived from a structure optimized by DFT (PBE), using λ = 1.5418 Å (Cu Kα).
No peak broadening, texture or thermal motion is included.

Main lines, by intensity (2θ from 5° to 70°):
(1 2 2), 34.79°, rel. 100
(2 0 0), 36.02°, rel. 28
(2 4 0), 63.96°, rel. 27
(1 0 4), 37.05°, rel. 25
(0 0 4), 32.23°, rel. 18
(0 2 2), 29.65°, rel. 14
(0 2 6), 55.87°, rel. 13
(2 2 6), 68.30°, rel. 13
(2 0 4), 49.10°, rel. 11
(0 4 0), 50.93°, rel. 9

Cell and atoms:
```
data_PrMgHg6
_symmetry_space_group_name_H-M 'A m m 2'
_symmetry_Int_Tables_number 38
_cell_length_a 4.987
_cell_length_b 7.173
_cell_length_c 11.111
_cell_angle_alpha 90.00
_cell_angle_beta 90.00
_cell_angle_gamma 90.00
loop_
_symmetry_equiv_pos_as_xyz
'x,y,z'
'-x,-y,z'
'-x,y,z'
'x,-y,z'
'x,y+1/2,z+1/2'
'-x,-y+1/2,z+1/2'
'-x,y+1/2,z+1/2'
'x,-y+1/2,z+1/2'
loop_
_atom_site_label
_atom_site_type_symbol
_atom_site_fract_x
_atom_site_fract_y
_atom_site_fract_z
Pr1 Pr 0.000 0.000 0.000
Mg1 Mg 0.500 0.000 0.269
Hg1 Hg 0.000 0.000 0.465
Hg2 Hg 0.000 0.240 0.738
Hg3 Hg 0.500 0.000 0.806
Hg4 Hg 0.500 0.223 0.544
```


No. 3
The following is a calculated PXRD pattern of PrMg2Hg6. It was derived from a structure optimized by DFT (PBE), using λ = 1.5418 Å (Cu Kα).
No peak broadening, texture or thermal motion is included.

Main lines, by intensity (2θ from 5° to 70°):
(3 1 0), 35.52°, rel. 100
(1 1 -3), 33.86°, rel. 72
(2 0 3), 33.93°, rel. 39
(1 1 -1), 22.18°, rel. 35
(2 2 3), 49.97°, rel. 26
(1 3 -3), 62.79°, rel. 26
(4 2 -3), 62.65°, rel. 13
(3 3 0), 63.84°, rel. 12
(4 0 -3), 49.76°, rel. 12
(1 1 6), 59.59°, rel. 11

Cell and atoms:
```
data_PrMg2Hg6
_symmetry_space_group_name_H-M 'C 1 2/m 1'
_symmetry_Int_Tables_number 12
_cell_length_a 8.766
_cell_length_b 5.047
_cell_length_c 9.963
_cell_angle_alpha 90.00
_cell_angle_beta 90.22
_cell_angle_gamma 90.00
loop_
_symmetry_equiv_pos_as_xyz
'x,y,z'
'-x,-y,-z'
'-x,y,-z'
'x,-y,z'
'x+1/2,y+1/2,z'
'-x+1/2,-y+1/2,-z'
'-x+1/2,y+1/2,-z'
'x+1/2,-y+1/2,z'
loop_
_atom_site_label
_atom_site_type_symbol
_atom_site_fract_x
_atom_site_fract_y
_atom_site_fract_z
Pr1 Pr 0.000 0.000 0.000
Mg1 Mg 0.167 0.500 0.229
Hg1 Hg 0.001 0.000 0.327
Hg2 Hg 0.166 0.500 0.549
Hg3 Hg 0.166 0.500 0.863
```


No. 4
The following is a calculated PXRD pattern of PrMg5Hg3. It was derived from a structure optimized by DFT (PBE), using λ = 1.5418 Å (Cu Kα).
No peak broadening, texture or thermal motion is included.

Main lines, by intensity (2θ from 5° to 70°):
(1 3 2), 31.88°, rel. 100
(0 2 3), 21.04°, rel. 80
(0 4 0), 23.20°, rel. 68
(1 1 2), 27.18°, rel. 55
(0 4 6), 42.84°, rel. 33
(0 0 6), 35.50°, rel. 32
(2 4 0), 54.55°, rel. 31
(1 1 3), 30.26°, rel. 31
(1 1 4), 34.15°, rel. 31
(2 0 0), 48.64°, rel. 28

Cell and atoms:
```
data_PrMg5Hg3
_symmetry_space_group_name_H-M 'C m c m'
_symmetry_Int_Tables_number 63
_symmetry_space_group_name_Hall '-C 2c 2'
_cell_length_a 3.745
_cell_length_b 15.337
_cell_length_c 15.174
_cell_angle_alpha 90.00
_cell_angle_beta 90.00
_cell_angle_gamma 90.00
loop_
_atom_site_label
_atom_site_type_symbol
_atom_site_fract_x
_atom_site_fract_y
_atom_site_fract_z
Pr1 Pr 0.000 0.152 0.250
Mg1 Mg 0.000 0.000 0.000
Mg2 Mg 0.000 0.194 0.565
Mg3 Mg 0.000 0.453 0.153
Hg1 Hg 0.000 0.163 0.750
Hg2 Hg 0.000 0.377 0.571
```